# Li4Sn3Au4
Theoretical X-ray powder pattern, Cu Kα (weighted mean of Kα1 and Kα2). Input: a DFT-relaxed cell (GGA-PBE, Alexandria).

The 10 most intense peaks (5° ≤ 2θ ≤ 70°), sorted by position:
3.541 Å, I 62; 3.325 Å, I 49; 3.056 Å, I 53; 2.693 Å, I 89; 2.504 Å, I 100; 2.037 Å, I 31; 2.002 Å, I 35; 1.972 Å, I 26; 1.880 Å, I 43; 1.371 Å, I 31

Crystal structure
Unit cell a=8.275 b=8.275 c=8.275 alpha=152.00 beta=125.89 gamma=62.02
Element x y z (fractional)
Li 0.028 0.828 0.200
Li 0.372 0.172 0.200
Li 0.628 0.828 0.800
Li 0.972 0.172 0.800
Sn 0.000 0.500 0.500
Sn 0.376 0.376 0.000
Sn 0.624 0.624 0.000
Au 0.221 0.721 0.500
Au 0.304 0.000 0.304
Au 0.696 0.000 0.696
Au 0.779 0.279 0.500


# LiSn4Au5
Theoretical X-ray powder pattern, Cu Kα (weighted mean of Kα1 and Kα2). Input: a DFT-relaxed cell (GGA-PBE, Alexandria).

The 10 most intense peaks (5° ≤ 2θ ≤ 70°), sorted by position:
3.293 Å, I 41; 2.863 Å, I 100; 2.830 Å, I 55; 2.295 Å, I 16; 2.047 Å, I 13; 2.024 Å, I 34; 2.013 Å, I 75; 1.724 Å, I 13; 1.646 Å, I 36; 1.431 Å, I 13

Crystal structure
Unit cell a=6.999 b=6.999 c=6.999 alpha=99.41 beta=99.41 gamma=132.30
Element x y z (fractional)
Li 0.000 0.000 0.000
Sn 0.221 0.377 0.597
Sn 0.377 0.779 0.156
Sn 0.623 0.221 0.844
Sn 0.779 0.623 0.403
Au 0.083 0.682 0.765
Au 0.318 0.083 0.400
Au 0.500 0.500 0.000
Au 0.682 0.917 0.600
Au 0.917 0.318 0.235